(1)
Starting from a GGA-PBE-relaxed structure, the X-ray powder pattern of Ho2H2Ir was computed for λ = 1.5418 Å (Cu Kα).
Peak positions follow from Bragg's law for the DFT cell and can differ from measured ones.

Atomic structure:
```
Ho2H2Ir
1.0
3.3298 0.0000 0.0000
0.0000 3.3298 0.0000
0.0000 0.0000 6.7392
Ho H Ir
2 2 1
Direct
0.0000 0.0000 0.2390 Ho
0.0000 0.0000 0.7610 Ho
0.0000 0.5000 0.0000 H
0.5000 0.0000 0.0000 H
0.5000 0.5000 0.5000 Ir
```

Main lines, in order of falling intensity (10 to 80 degrees two-theta):
- 2θ = 37.99°, rel. 100
- 2θ = 38.22°, rel. 49
- 2θ = 68.94°, rel. 35
- 2θ = 29.93°, rel. 32
- 2θ = 13.14°, rel. 32
- 2θ = 55.17°, rel. 17
- 2θ = 68.48°, rel. 17
- 2θ = 40.59°, rel. 9
- 2θ = 26.77°, rel. 9
- 2θ = 54.46°, rel. 9


(2)
Starting from a GGA-PBE-relaxed structure, the X-ray powder pattern of LaHoH8Ir2 was computed for λ = 1.5418 Å (Cu Kα).
Peak positions follow from Bragg's law for the DFT cell and can differ from measured ones.

Atomic structure:
```
LaHoH8Ir2
1.0
2.4372 1.4071 6.2138
-2.4372 1.4071 6.2138
0.0000 -2.8142 6.2138
La Ho H Ir
1 1 8 2
Direct
0.0000 0.0000 0.0000 La
0.5000 0.5000 0.5000 Ho
0.0517 0.8814 0.3924 H
0.1186 0.6076 0.9483 H
0.3204 0.3204 0.3204 H
0.3924 0.0517 0.8814 H
0.6076 0.9483 0.1186 H
0.6796 0.6796 0.6796 H
0.8814 0.3924 0.0517 H
0.9483 0.1186 0.6076 H
0.2337 0.2337 0.2337 Ir
0.7663 0.7663 0.7663 Ir
```

Main lines, in order of falling intensity (10 to 80 degrees two-theta):
- 2θ = 28.53°, rel. 100
- 2θ = 36.88°, rel. 56
- 2θ = 47.28°, rel. 26
- 2θ = 61.42°, rel. 24
- 2θ = 44.41°, rel. 23
- 2θ = 71.69°, rel. 11
- 2θ = 66.44°, rel. 10
- 2θ = 59.05°, rel. 10
- 2θ = 14.25°, rel. 8
- 2θ = 40.03°, rel. 7


(3)
Starting from a GGA-PBE-relaxed structure, the X-ray powder pattern of HoMgH6Ir2 was computed for λ = 1.5418 Å (Cu Kα).
Peak positions follow from Bragg's law for the DFT cell and can differ from measured ones.

Atomic structure:
```
HoMgH6Ir2
1.0
2.2813 1.3171 5.1544
-2.2813 1.3171 5.1544
0.0000 -2.6342 5.1544
Ho Mg H Ir
1 1 6 2
Direct
0.0000 0.0000 0.0000 Ho
0.5000 0.5000 0.5000 Mg
0.0554 0.5596 0.5596 H
0.4404 0.4404 0.9446 H
0.4404 0.9446 0.4404 H
0.5596 0.0554 0.5596 H
0.5596 0.5596 0.0554 H
0.9446 0.4404 0.4404 H
0.2098 0.2098 0.2098 Ir
0.7902 0.7902 0.7902 Ir
```

Main lines, in order of falling intensity (10 to 80 degrees two-theta):
- 2θ = 39.50°, rel. 100
- 2θ = 36.91°, rel. 94
- 2θ = 32.40°, rel. 81
- 2θ = 23.23°, rel. 64
- 2θ = 55.17°, rel. 30
- 2θ = 69.95°, rel. 30
- 2θ = 68.35°, rel. 23
- 2θ = 51.98°, rel. 22
- 2θ = 25.31°, rel. 21
- 2θ = 67.20°, rel. 20